[1]
Simulated powder diffractogram of CuAg2HgI6 for λ = 1.5418 Å (Cu Kα), from a crystal structure in Alexandria, relaxed with GGA-PBE.

Most intense lines, 2θ = 5–70°, in order of rising 2θ:
16.5 deg, d = 5.378 Å, intensity 41; 21.3 deg, d = 4.180 Å, intensity 27; 24.2 deg, d = 3.675 Å, intensity 28; 24.9 deg, d = 3.571 Å, intensity 100; 25.1 deg, d = 3.544 Å, intensity 26; 29.5 deg, d = 3.032 Å, intensity 28; 39.0 deg, d = 2.311 Å, intensity 36; 39.2 deg, d = 2.296 Å, intensity 24; 39.3 deg, d = 2.291 Å, intensity 34; 40.9 deg, d = 2.208 Å, intensity 30; 42.9 deg, d = 2.109 Å, intensity 21; 43.3 deg, d = 2.089 Å, intensity 30

```
CuAg2HgI6
1.0
7.530 0.000 0.000
2.901 6.970 0.000
1.850 1.598 7.151
Cu Ag Hg I
1 2 1 6
Direct
0.000 0.000 0.000 Cu
0.259 0.448 0.913 Ag
0.632 0.850 0.664 Ag
0.626 0.558 0.301 Hg
0.262 0.623 0.218 I
0.275 0.132 0.754 I
0.635 0.461 0.710 I
0.685 0.935 0.240 I
0.977 0.261 0.192 I
0.985 0.827 0.747 I
```

[2]
Simulated powder diffractogram of Nd4CuAg2Hg for λ = 1.5418 Å (Cu Kα), from a crystal structure in Alexandria, relaxed with GGA-PBE.

Most intense lines, 2θ = 5–70°, in order of rising 2θ:
10.3 deg, d = 8.621 Å, intensity 2; 19.6 deg, d = 4.518 Å, intensity 2; 26.0 deg, d = 3.433 Å, intensity 3; 31.1 deg, d = 2.878 Å, intensity 3; 33.9 deg, d = 2.646 Å, intensity 100; 35.4 deg, d = 2.533 Å, intensity 1; 46.6 deg, d = 1.949 Å, intensity 1; 48.7 deg, d = 1.871 Å, intensity 18; 58.8 deg, d = 1.570 Å, intensity 1; 60.6 deg, d = 1.529 Å, intensity 27; 60.7 deg, d = 1.525 Å, intensity 8; 64.5 deg, d = 1.445 Å, intensity 2

```
Nd4CuAg2Hg
1.0
2.649 1.530 8.621
-2.649 1.530 8.621
0.000 -3.059 8.621
Nd Cu Ag Hg
4 1 2 1
Direct
0.120 0.120 0.120 Nd
0.370 0.370 0.370 Nd
0.630 0.630 0.630 Nd
0.880 0.880 0.880 Nd
0.000 0.000 0.000 Cu
0.247 0.247 0.247 Ag
0.753 0.753 0.753 Ag
0.500 0.500 0.500 Hg
```

[3]
Simulated powder diffractogram of ScCuAgHg for λ = 1.5418 Å (Cu Kα), from a crystal structure in Alexandria, relaxed with GGA-PBE.

Most intense lines, 2θ = 5–70°, in order of rising 2θ:
23.3 deg, d = 3.822 Å, intensity 33; 26.9 deg, d = 3.310 Å, intensity 3; 38.5 deg, d = 2.341 Å, intensity 100; 45.4 deg, d = 1.996 Å, intensity 19; 47.6 deg, d = 1.911 Å, intensity 1; 55.5 deg, d = 1.655 Å, intensity 17; 61.0 deg, d = 1.519 Å, intensity 8; 62.8 deg, d = 1.480 Å, intensity 1; 69.6 deg, d = 1.351 Å, intensity 33

```
ScCuAgHg
1.0
0.000 3.310 3.310
3.310 0.000 3.310
3.310 3.310 0.000
Sc Cu Ag Hg
1 1 1 1
Direct
0.000 0.000 0.000 Sc
0.750 0.750 0.750 Cu
0.250 0.250 0.250 Ag
0.500 0.500 0.500 Hg
```

[4]
Simulated powder diffractogram of CuAg2Hg2Se2 for λ = 1.5418 Å (Cu Kα), from a crystal structure in Alexandria, relaxed with GGA-PBE.

Most intense lines, 2θ = 5–70°, in order of rising 2θ:
20.8 deg, d = 4.264 Å, intensity 30; 23.0 deg, d = 3.860 Å, intensity 31; 29.2 deg, d = 3.062 Å, intensity 100; 31.9 deg, d = 2.806 Å, intensity 60; 32.0 deg, d = 2.797 Å, intensity 66; 32.6 deg, d = 2.750 Å, intensity 93; 35.0 deg, d = 2.564 Å, intensity 63; 35.1 deg, d = 2.558 Å, intensity 29; 39.7 deg, d = 2.269 Å, intensity 96; 41.4 deg, d = 2.182 Å, intensity 34; 41.7 deg, d = 2.164 Å, intensity 38; 41.9 deg, d = 2.157 Å, intensity 34

```
CuAg2Hg2Se2
1.0
4.539 0.000 0.000
-0.024 5.555 0.000
-2.260 -0.884 6.221
Cu Ag Hg Se
1 2 2 2
Direct
0.000 0.000 0.000 Cu
0.206 0.773 0.420 Ag
0.794 0.227 0.580 Ag
0.449 0.251 0.890 Hg
0.551 0.749 0.110 Hg
0.170 0.259 0.331 Se
0.830 0.741 0.669 Se
```

[5]
Simulated powder diffractogram of TbCuAgHg for λ = 1.5418 Å (Cu Kα), from a crystal structure in Alexandria, relaxed with GGA-PBE.

Most intense lines, 2θ = 5–70°, in order of rising 2θ:
22.5 deg, d = 3.960 Å, intensity 3; 26.0 deg, d = 3.430 Å, intensity 13; 37.1 deg, d = 2.425 Å, intensity 100; 43.8 deg, d = 2.068 Å, intensity 2; 45.8 deg, d = 1.980 Å, intensity 4; 53.4 deg, d = 1.715 Å, intensity 17; 58.7 deg, d = 1.574 Å, intensity 1; 60.3 deg, d = 1.534 Å, intensity 6; 66.8 deg, d = 1.400 Å, intensity 35

```
TbCuAgHg
1.0
0.000 3.430 3.430
3.430 0.000 3.430
3.430 3.430 0.000
Tb Cu Ag Hg
1 1 1 1
Direct
0.000 0.000 0.000 Tb
0.750 0.750 0.750 Cu
0.250 0.250 0.250 Ag
0.500 0.500 0.500 Hg
```

[6]
Simulated powder diffractogram of HoCu9Ag2 for λ = 1.5418 Å (Cu Kα), from a crystal structure in Alexandria, relaxed with GGA-PBE.

Most intense lines, 2θ = 5–70°, in order of rising 2θ:
33.3 deg, d = 2.694 Å, intensity 31; 36.1 deg, d = 2.491 Å, intensity 39; 36.3 deg, d = 2.473 Å, intensity 23; 42.0 deg, d = 2.149 Å, intensity 33; 42.6 deg, d = 2.124 Å, intensity 11; 42.7 deg, d = 2.118 Å, intensity 100; 45.1 deg, d = 2.012 Å, intensity 19; 46.1 deg, d = 1.970 Å, intensity 13; 63.1 deg, d = 1.474 Å, intensity 10; 66.4 deg, d = 1.407 Å, intensity 8; 69.4 deg, d = 1.354 Å, intensity 22; 69.8 deg, d = 1.347 Å, intensity 8

```
HoCu9Ag2
1.0
2.491 1.438 8.046
-2.491 1.438 8.046
0.000 -2.877 8.046
Ho Cu Ag
1 9 2
Direct
0.000 0.000 0.000 Ho
0.082 0.586 0.586 Cu
0.333 0.333 0.333 Cu
0.414 0.414 0.918 Cu
0.414 0.918 0.414 Cu
0.500 0.500 0.500 Cu
0.586 0.082 0.586 Cu
0.586 0.586 0.082 Cu
0.667 0.667 0.667 Cu
0.918 0.414 0.414 Cu
0.144 0.144 0.144 Ag
0.856 0.856 0.856 Ag
```